No. 1
Starting from a crystal structure in Alexandria, relaxed with GGA-PBE, the powder X-ray diffraction pattern of BaZrPdS3 was computed for Cu Ka.
Lines closer than 0.1° are merged.

Structure:
```
data_BaZrPdS3
_chemical_formula_sum 'Ba2 Zr2 Pd2 S6'
_cell_length_a 8.0330
_cell_length_b 3.9110
_cell_length_c 9.1883
_cell_angle_alpha 90.00
_cell_angle_beta 108.17
_cell_angle_gamma 90.00
_space_group_name_H-M_alt 'P 1 21/m 1'
_space_group_IT_number 11
_space_group_name_Hall '-P 2yb'
loop_
_atom_site_label
_atom_site_type_symbol
_atom_site_fract_x
_atom_site_fract_y
_atom_site_fract_z
_atom_site_occupancy
Ba1 Ba 0.2257 0.2500 0.2649 1
Zr1 Zr 0.3067 0.7500 0.8301 1
Pd1 Pd 0.1080 0.2500 0.6053 1
S1 S 0.1051 0.2500 0.8700 1
S2 S 0.2667 0.7500 0.5478 1
S3 S 0.4531 0.7500 0.1355 1
```

Top 8 peaks for 15 to 90 degrees two-theta, by intensity:
2θ (°), Rel. int., (hkl)
32.8, 1000, 2 1 0
36.6, 757, 2 1 1
25.8, 679, 2 0 -2
37.4, 673, 1 1 -3
32.1, 654, 2 1 -1
38.6, 547, 0 1 3
23.3, 495, 2 0 0
46.4, 487, 0 2 0

=====

No. 2
Starting from a crystal structure in Alexandria, relaxed with GGA-PBE, the powder X-ray diffraction pattern of BaSb6Pd12 was computed for Cu Ka.
Lines closer than 0.1° are merged.

Structure:
```
data_BaSb6Pd12
_chemical_formula_sum 'Ba3 Sb18 Pd36'
_cell_length_a 11.9763
_cell_length_b 11.9763
_cell_length_c 9.4608
_cell_angle_alpha 90.00
_cell_angle_beta 90.00
_cell_angle_gamma 120.00
_space_group_name_H-M_alt 'R -3 m'
_space_group_IT_number 166
_space_group_name_Hall '-R 3 2"'
loop_
_atom_site_label
_atom_site_type_symbol
_atom_site_fract_x
_atom_site_fract_y
_atom_site_fract_z
_atom_site_occupancy
Ba1 Ba 0.0000 0.0000 0.0000 1
Sb1 Sb 0.0504 0.5252 0.2679 1
Pd1 Pd 0.0000 0.3801 0.5000 1
Pd2 Pd 0.0940 0.1880 0.3233 1
```

Top 8 peaks for 15 to 90 degrees two-theta, by intensity:
2θ (°), Rel. int., (hkl)
32.5, 1000, 1 3 1
38.6, 884, 0 3 3
39.0, 824, 3 2 1
42.0, 639, 0 2 4
47.9, 617, 5 0 2
32.1, 470, 1 1 3
24.6, 362, 2 1 1
45.4, 353, 3 3 0

=====

No. 3
Starting from a crystal structure in Alexandria, relaxed with GGA-PBE, the powder X-ray diffraction pattern of BaSb2Pd3 was computed for Cu Ka.
Lines closer than 0.1° are merged.

Structure:
```
data_BaSb2Pd3
_chemical_formula_sum 'Ba4 Sb8 Pd12'
_cell_length_a 17.6393
_cell_length_b 4.5600
_cell_length_c 7.9297
_cell_angle_alpha 90.00
_cell_angle_beta 115.14
_cell_angle_gamma 90.00
_space_group_name_H-M_alt 'C 1 2/m 1'
_space_group_IT_number 12
_space_group_name_Hall '-C 2y'
loop_
_atom_site_label
_atom_site_type_symbol
_atom_site_fract_x
_atom_site_fract_y
_atom_site_fract_z
_atom_site_occupancy
Ba1 Ba 0.1513 0.0000 0.0747 1
Sb1 Sb 0.0249 0.5000 0.2080 1
Sb2 Sb 0.1824 0.0000 0.6516 1
Pd1 Pd 0.0304 0.0000 0.3693 1
Pd2 Pd 0.0905 0.5000 0.6524 1
Pd3 Pd 0.1903 0.5000 0.4529 1
```

Top 8 peaks for 15 to 90 degrees two-theta, by intensity:
2θ (°), Rel. int., (hkl)
34.7, 1000, 5 1 -2
31.6, 991, 3 1 1
39.5, 930, 0 2 0
30.3, 636, 1 1 -2
31.4, 584, 2 0 2
41.3, 578, 5 1 -3
41.5, 538, 8 0 -1
40.9, 407, 3 1 2

=====

No. 4
Starting from a crystal structure in Alexandria, relaxed with GGA-PBE, the powder X-ray diffraction pattern of Ba2Sb3Pd2 was computed for Cu Ka.
Lines closer than 0.1° are merged.

Structure:
```
data_Ba2Sb3Pd2
_chemical_formula_sum 'Ba8 Sb12 Pd8'
_cell_length_a 5.0689
_cell_length_b 21.0402
_cell_length_c 7.4860
_cell_angle_alpha 90.00
_cell_angle_beta 90.00
_cell_angle_gamma 90.00
_space_group_name_H-M_alt 'C m c m'
_space_group_IT_number 63
_space_group_name_Hall '-C 2c 2'
loop_
_atom_site_label
_atom_site_type_symbol
_atom_site_fract_x
_atom_site_fract_y
_atom_site_fract_z
_atom_site_occupancy
Ba1 Ba 0.0000 0.0470 0.2500 1
Ba2 Ba 0.0000 0.1606 0.7500 1
Sb1 Sb 0.0000 0.2217 0.2500 1
Sb2 Sb 0.0000 0.4268 0.0508 1
Pd1 Pd 0.0000 0.2987 0.5537 1
```

Top 8 peaks for 15 to 90 degrees two-theta, by intensity:
2θ (°), Rel. int., (hkl)
30.0, 1000, 1 1 2
35.4, 331, 2 0 0
42.5, 199, 1 7 2
40.0, 172, 0 4 3
28.1, 161, 0 6 1
54.5, 139, 2 4 3
60.3, 135, 3 1 2
34.1, 119, 0 8 0

=====

No. 5
Starting from a crystal structure in Alexandria, relaxed with GGA-PBE, the powder X-ray diffraction pattern of Ba3Sb2Pd was computed for Cu Ka.
Lines closer than 0.1° are merged.

Structure:
```
data_Ba3Sb2Pd
_chemical_formula_sum 'Ba12 Sb8 Pd4'
_cell_length_a 13.5967
_cell_length_b 4.9365
_cell_length_c 13.3484
_cell_angle_alpha 90.00
_cell_angle_beta 90.00
_cell_angle_gamma 90.00
_space_group_name_H-M_alt 'P n m a'
_space_group_IT_number 62
_space_group_name_Hall '-P 2ac 2n'
loop_
_atom_site_label
_atom_site_type_symbol
_atom_site_fract_x
_atom_site_fract_y
_atom_site_fract_z
_atom_site_occupancy
Ba1 Ba 0.0562 0.2500 0.1243 1
Ba2 Ba 0.1156 0.7500 0.5510 1
Ba3 Ba 0.2196 0.2500 0.8027 1
Sb1 Sb 0.0244 0.7500 0.3103 1
Sb2 Sb 0.2010 0.7500 0.9883 1
Pd1 Pd 0.1232 0.2500 0.3652 1
```

Top 8 peaks for 15 to 90 degrees two-theta, by intensity:
2θ (°), Rel. int., (hkl)
27.0, 1000, 0 1 3
29.9, 551, 3 1 2
36.4, 546, 0 2 0
27.5, 481, 1 0 4
32.7, 432, 4 1 1
26.0, 378, 2 1 2
35.0, 355, 2 1 4
33.6, 306, 5 0 1

=====

No. 6
Starting from a crystal structure in Alexandria, relaxed with GGA-PBE, the powder X-ray diffraction pattern of Ba2SiSbPd6 was computed for Cu Ka.
Lines closer than 0.1° are merged.

Structure:
```
data_Ba2SiSbPd6
_chemical_formula_sum 'Ba2 Si1 Sb1 Pd6'
_cell_length_a 6.8423
_cell_length_b 6.8829
_cell_length_c 6.8936
_cell_angle_alpha 60.95
_cell_angle_beta 60.81
_cell_angle_gamma 60.86
_space_group_name_H-M_alt 'P -1'
_space_group_IT_number 2
_space_group_name_Hall '-P 1'
loop_
_atom_site_label
_atom_site_type_symbol
_atom_site_fract_x
_atom_site_fract_y
_atom_site_fract_z
_atom_site_occupancy
Ba1 Ba 0.2203 0.2206 0.2193 1
Si1 Si 0.5000 0.5000 0.5000 1
Sb1 Sb 0.0000 0.0000 0.0000 1
Pd1 Pd 0.2581 0.6554 0.2600 1
Pd2 Pd 0.2592 0.2584 0.6552 1
Pd3 Pd 0.3426 0.7419 0.7397 1
```

Top 8 peaks for 15 to 90 degrees two-theta, by intensity:
2θ (°), Rel. int., (hkl)
36.8, 1000, 2 0 2
30.5, 675, 1 2 2
31.5, 645, 0 2 0
30.6, 330, 2 2 1
31.7, 322, 2 0 0
15.9, 292, 1 1 1
48.1, 282, -1 2 2
25.6, 238, 1 0 -1